# Sr4Bi11
Calculated X-ray powder pattern, λ = 1.5418 Å (Cu Kα). Input: a cell relaxed with PBE.

Principal peaks in the range 10 to 90 degrees two-theta, by intensity:
Position (°2θ)	I/Imax
29.15	100
32.75	73
33.10	50
16.82	50
28.87	45
30.55	34
33.23	33
21.67	32

Crystal structure
abc: 7.469 9.289 9.684
angles: 62.09 71.70 79.80
Space group P-1 (No. 2)
One atom of each set of equivalent atoms:
Sr 0.151 0.058 0.293 [2 per cell]
Sr 0.273 0.090 0.829 [2 per cell]
Bi 0.072 0.670 0.001 [2 per cell]
Bi 0.114 0.335 0.488 [2 per cell]
Bi 0.222 0.672 0.635 [2 per cell]
Bi 0.279 0.735 0.208 [2 per cell]
Bi 0.491 0.325 0.146 [2 per cell]
Bi 0.500 0.000 0.500 [1 per cell]

# Sr2ZnBi2
Calculated X-ray powder pattern, λ = 1.5418 Å (Cu Kα). Input: a cell relaxed with PBE.

Principal peaks in the range 10 to 90 degrees two-theta, by intensity:
Position (°2θ)	I/Imax
29.38	100
23.50	95
37.18	71
56.41	35
37.32	30
48.08	26
20.10	26
67.07	24

Crystal structure
abc: 4.8367 4.8367 8.8372
angles: 90.00 90.00 120.00
Space group P-6m2 (No. 187)
One atom of each set of equivalent atoms:
Sr 0.0000 0.0000 0.2159 [2 per cell]
Zn 0.6667 0.3333 0.5000 [1 per cell]
Bi 0.3333 0.6667 0.5000 [1 per cell]
Bi 0.6667 0.3333 0.0000 [1 per cell]

# Bi2Te3
Calculated X-ray powder pattern, λ = 1.5418 Å (Cu Kα). Input: a cell relaxed with PBE.

Principal peaks in the range 10 to 90 degrees two-theta, by intensity:
Position (°2θ)	I/Imax
32.74	100
19.27	96
27.03	86
30.89	82
31.22	71
41.76	54
29.02	53
44.49	52

Crystal structure
abc: 13.588 5.730 10.270
angles: 90.00 116.20 90.00
Space group C2/m (No. 12)
One atom of each set of equivalent atoms:
Bi 0.241 0.000 0.498 [4 per cell]
Te 0.000 0.000 0.500 [2 per cell]
Te 0.094 0.500 0.634 [4 per cell]

# Bi2Te3
Calculated X-ray powder pattern, λ = 1.5418 Å (Cu Kα). Input: a cell relaxed with PBE.

Principal peaks in the range 10 to 90 degrees two-theta, by intensity:
Position (°2θ)	I/Imax
27.21	100
37.11	39
40.55	36
49.52	20
65.86	17
61.04	15
56.13	12
71.51	12

Crystal structure
abc: 4.4495 4.4495 31.1509
angles: 90.00 90.00 120.00
Space group R-3m (No. 166, hexagonal axes)
One atom of each set of equivalent atoms:
Bi 0.0000 0.0000 0.1007 [6 per cell]
Te 0.0000 0.0000 0.2882 [6 per cell]
Te 0.0000 0.0000 0.5000 [3 per cell]

# Bi2Te
Calculated X-ray powder pattern, λ = 1.5418 Å (Cu Kα). Input: a cell relaxed with PBE.

Principal peaks in the range 10 to 90 degrees two-theta, by intensity:
Position (°2θ)	I/Imax
28.60	100
36.10	28
35.41	26
32.32	19
56.70	14
43.11	14
17.82	13
44.27	11

Crystal structure
abc: 8.016 8.016 6.349
angles: 90.00 90.00 90.00
Space group I-42d (No. 122)
One atom of each set of equivalent atoms:
Bi 0.077 0.750 0.125 [8 per cell]
Te 0.000 0.000 0.500 [4 per cell]

# Bi2Te3
Calculated X-ray powder pattern, λ = 1.5418 Å (Cu Kα). Input: a cell relaxed with PBE.

Principal peaks in the range 10 to 90 degrees two-theta, by intensity:
Position (°2θ)	I/Imax
27.56	100
38.24	41
40.48	37
49.67	20
62.78	18
65.93	17
56.90	13
72.13	13

Crystal structure
abc: 4.4572 4.4572 29.6996
angles: 90.00 90.00 120.00
Space group R-3m (No. 166, hexagonal axes)
One atom of each set of equivalent atoms:
Bi 0.0000 0.0000 0.2047 [6 per cell]
Te 0.0000 0.0000 0.0000 [3 per cell]
Te 0.0000 0.0000 0.4020 [6 per cell]